Record 1
Calculated XRD peak list
Compound: Sr2Hg13
Radiation: Cu Ka
Structure: the GGA-PBE geometry in Alexandria
Neutral-atom scattering factors, no anomalous dispersion.

Main lines, by intensity (2θ = 5–70°):
32.8 deg, I 100.0
45.0 deg, I 52.8
31.4 deg, I 49.8
32.1 deg, I 44.9
63.2 deg, I 32.2
41.5 deg, I 30.5

Crystal structure
```
data_Sr2Hg13
_cell_length_a 8.4082
_cell_length_b 8.4082
_cell_length_c 21.7009
_cell_angle_alpha 90.00
_cell_angle_beta 90.00
_cell_angle_gamma 120.00
_space_group_name_H-M_alt 'R -3 m'
_space_group_IT_number 166
_space_group_name_Hall '-R 3 2"'
loop_
_atom_site_label
_atom_site_fract_x
_atom_site_fract_y
_atom_site_fract_z
_atom_site_occupancy
Sr1 0.0000 0.0000 0.1528 1
Hg1 0.0000 0.0000 0.0000 1
Hg2 0.0780 0.5390 0.3857 1
Hg3 0.0918 0.5459 0.2369 1
```

***

Record 2
Calculated XRD peak list
Compound: Dy3PtRh8
Radiation: Cu Ka
Structure: the GGA-PBE geometry in Alexandria
Neutral-atom scattering factors, no anomalous dispersion.

Main lines, by intensity (2θ = 5–70°):
40.0 deg, I 100.0
33.9 deg, I 43.4
41.9 deg, I 27.4
64.8 deg, I 16.7
64.9 deg, I 12.7
60.7 deg, I 10.1

Crystal structure
```
data_Dy3PtRh8
_cell_length_a 5.2807
_cell_length_b 5.2807
_cell_length_c 25.9207
_cell_angle_alpha 90.00
_cell_angle_beta 90.00
_cell_angle_gamma 120.00
_space_group_name_H-M_alt 'R 3 m'
_space_group_IT_number 160
_space_group_name_Hall 'R 3 -2"'
loop_
_atom_site_label
_atom_site_fract_x
_atom_site_fract_y
_atom_site_fract_z
_atom_site_occupancy
Dy1 0.0000 0.0000 0.0000 1
Dy2 0.0000 0.0000 0.1313 1
Dy3 0.0000 0.0000 0.6132 1
Pt1 0.0000 0.0000 0.4901 1
Rh1 0.0000 0.0000 0.3124 1
Rh2 0.0000 0.0000 0.8130 1
Rh3 0.0009 0.5004 0.5618 1
Rh4 0.1670 0.3341 0.3964 1
```

***

Record 3
Calculated XRD peak list
Compound: Na2AgI3
Radiation: Cu Ka
Structure: the GGA-PBE geometry in Alexandria
Neutral-atom scattering factors, no anomalous dispersion.

Main lines, by intensity (2θ = 5–70°):
30.4 deg, I 100.0
24.3 deg, I 98.2
27.7 deg, I 78.9
22.0 deg, I 53.4
38.9 deg, I 38.3
40.5 deg, I 33.1

Crystal structure
```
data_Na2AgI3
_cell_length_a 12.5819
_cell_length_b 4.4598
_cell_length_c 15.0302
_cell_angle_alpha 90.00
_cell_angle_beta 90.00
_cell_angle_gamma 90.00
_space_group_name_H-M_alt 'P n m a'
_space_group_IT_number 62
loop_
_space_group_symop_operation_xyz
'x,y,z'
'-x,-y,-z'
'-x+1/2,-y,z+1/2'
'x+1/2,y,-z+1/2'
'x+1/2,-y+1/2,-z+1/2'
'-x+1/2,y+1/2,z+1/2'
'-x,y+1/2,-z'
'x,-y+1/2,z'
loop_
_atom_site_label
_atom_site_fract_x
_atom_site_fract_y
_atom_site_fract_z
_atom_site_occupancy
Na1 0.0000 0.2500 0.2503 1
Na2 0.2498 0.2500 0.0301 1
Ag1 0.2496 0.2500 0.7324 1
I1 0.0762 0.2500 0.6106 1
I2 0.0766 0.7500 0.1109 1
I3 0.2503 0.2500 0.3528 1
```

***

Record 4
Calculated XRD peak list
Compound: HfNp2Se5
Radiation: Cu Ka
Structure: the GGA-PBE geometry in Alexandria
Neutral-atom scattering factors, no anomalous dispersion.

Main lines, by intensity (2θ = 5–70°):
35.6 deg, I 100.0
25.4 deg, I 94.2
33.6 deg, I 84.6
33.0 deg, I 78.8
25.7 deg, I 56.2
45.8 deg, I 55.8

Crystal structure
```
data_HfNp2Se5
_cell_length_a 11.8435
_cell_length_b 8.2354
_cell_length_c 7.5915
_cell_angle_alpha 90.00
_cell_angle_beta 90.00
_cell_angle_gamma 90.00
_space_group_name_H-M_alt 'P n m a'
_space_group_IT_number 62
loop_
_space_group_symop_operation_xyz
'x,y,z'
'-x,-y,-z'
'-x+1/2,-y,z+1/2'
'x+1/2,y,-z+1/2'
'x+1/2,-y+1/2,-z+1/2'
'-x+1/2,y+1/2,z+1/2'
'-x,y+1/2,-z'
'x,-y+1/2,z'
loop_
_atom_site_label
_atom_site_fract_x
_atom_site_fract_y
_atom_site_fract_z
_atom_site_occupancy
Hf1 0.0077 0.2500 0.0772 1
Np1 0.1757 0.5011 0.5443 1
Se1 0.0033 0.2500 0.4503 1
Se2 0.0830 0.5392 0.1744 1
Se3 0.1882 0.2500 0.8460 1
Se4 0.2111 0.7500 0.8259 1
```

***

Q: What is the formula in the second record?
A: Dy3PtRh8